# 1
Diffraction record for LiCaCoF6. The powder XRD pattern is computed, not measured: it uses a GGA+U-relaxed structure and a wavelength of 1.5418 Å.

Atomic structure:
Cell lengths 5.1006, 5.1006, 9.8147 Å; angles 90.00, 90.00, 120.00 degrees
Element x y z (fractional)
Li 0.3333 0.6667 0.2500
Li 0.6667 0.3333 0.7500
Ca 0.0000 0.0000 0.0000
Ca 0.0000 0.0000 0.5000
Co 0.3333 0.6667 0.7500
Co 0.6667 0.3333 0.2500
F 0.0257 0.3715 0.6418
F 0.0257 0.6542 0.8582
F 0.3458 0.3715 0.8582
F 0.3458 0.9743 0.6418
F 0.3715 0.0257 0.1418
F 0.3715 0.3458 0.3582
F 0.6285 0.6542 0.6418
F 0.6285 0.9743 0.8582
F 0.6542 0.0257 0.3582
F 0.6542 0.6285 0.1418
F 0.9743 0.3458 0.1418
F 0.9743 0.6285 0.3582

Principal peaks in the range 15° ≤ 2θ ≤ 90°, low angle first:
2θ/deg	intensity
18.08	19
22.07	91
27.16	100
34.10	18
35.19	11
39.84	51
45.01	19
51.70	64
58.38	20
63.14	25



# 2
Diffraction record for CaLaFeCoO6. The powder XRD pattern is computed, not measured: it uses a GGA+U-relaxed structure and a wavelength of 1.5418 Å.

Atomic structure:
Cell lengths 5.4789, 5.4592, 9.5046 Å; angles 90.00, 125.01, 90.00 degrees
Element x y z (fractional)
Ca 0.0000 0.2138 0.0000
Ca 0.0000 0.7862 0.5000
La 0.4870 0.2762 0.5010
La 0.4870 0.7238 0.0010
Fe 0.7413 0.2500 0.2500
Fe 0.7413 0.7500 0.7500
Co 0.2415 0.2507 0.7506
Co 0.2415 0.7493 0.2506
O 0.0641 0.0191 0.2872
O 0.0641 0.9809 0.7872
O 0.4088 0.4760 0.2100
O 0.4088 0.5240 0.7100
O 0.4814 0.0258 0.7119
O 0.4814 0.9742 0.2119
O 0.5703 0.2610 0.0018
O 0.5703 0.7390 0.5018
O 0.9205 0.2351 0.4984
O 0.9205 0.7649 0.9984
O 0.9985 0.4707 0.7923
O 0.9985 0.5293 0.2923

Principal peaks in the range 15° ≤ 2θ ≤ 90°, low angle first:
2θ/deg	intensity
19.84	33
32.65	100
32.81	19
38.61	10
40.35	8
46.67	14
46.99	26
58.23	22
58.41	15
68.49	10



# 3
Diffraction record for Sr7CaFe4Co4O24. The powder XRD pattern is computed, not measured: it uses a GGA+U-relaxed structure and a wavelength of 1.5418 Å.

Atomic structure:
Cell lengths 7.7474, 7.7474, 7.7474 Å; angles 90.02, 90.02, 90.02 degrees
Element x y z (fractional)
Sr 0.0000 0.0000 0.0000
Sr 0.0001 0.0001 0.4998
Sr 0.0001 0.4998 0.0001
Sr 0.0001 0.4998 0.4998
Sr 0.4998 0.0001 0.0001
Sr 0.4998 0.0001 0.4998
Sr 0.4998 0.4998 0.0001
Ca 0.4993 0.4993 0.4993
Fe 0.2505 0.2505 0.2505
Fe 0.2506 0.2506 0.7495
Fe 0.2506 0.7495 0.2506
Fe 0.7495 0.2506 0.2506
Co 0.2504 0.7494 0.7494
Co 0.7494 0.2504 0.7494
Co 0.7494 0.7494 0.2504
Co 0.7493 0.7493 0.7493
O 0.0011 0.2503 0.2503
O 0.0042 0.7494 0.7494
O 0.2503 0.0011 0.2503
O 0.2503 0.2503 0.0011
O 0.2502 0.7495 0.9967
O 0.2502 0.9967 0.7495
O 0.2521 0.2521 0.4989
O 0.2521 0.4989 0.2521
O 0.2524 0.5033 0.7478
O 0.2524 0.7478 0.5033
O 0.4962 0.7480 0.7480
O 0.4989 0.2521 0.2521
O 0.5033 0.2524 0.7478
O 0.5033 0.7478 0.2524
O 0.7478 0.2524 0.5033
O 0.7480 0.4962 0.7480
O 0.7478 0.5033 0.2524
O 0.7480 0.7480 0.4962
O 0.7494 0.0042 0.7494
O 0.7494 0.7494 0.0042
O 0.7495 0.2502 0.9967
O 0.7495 0.9967 0.2502
O 0.9967 0.2502 0.7495
O 0.9967 0.7495 0.2502

Principal peaks in the range 15° ≤ 2θ ≤ 90°, low angle first:
2θ/deg	intensity
16.18	1
25.71	1
32.69	100
40.33	11
46.91	39
58.35	37
68.51	22
78.00	16
82.61	3
87.17	7



# 4
Diffraction record for SrCa7FeCo7O24. The powder XRD pattern is computed, not measured: it uses a GGA+U-relaxed structure and a wavelength of 1.5418 Å.

Atomic structure:
Cell lengths 7.5890, 7.5890, 7.5890 Å; angles 89.97, 89.97, 89.97 degrees
Element x y z (fractional)
Sr 0.0000 0.0000 0.0000
Ca 0.0014 0.0014 0.4974
Ca 0.0014 0.4974 0.0014
Ca 0.0016 0.4975 0.4975
Ca 0.4974 0.0014 0.0014
Ca 0.4975 0.0016 0.4975
Ca 0.4975 0.4975 0.0016
Ca 0.4977 0.4977 0.4977
Fe 0.2500 0.2500 0.2500
Co 0.2502 0.2502 0.7488
Co 0.2502 0.7488 0.2502
Co 0.2507 0.7484 0.7484
Co 0.7484 0.2507 0.7484
Co 0.7484 0.7484 0.2507
Co 0.7488 0.2502 0.2502
Co 0.7485 0.7485 0.7485
O 0.0022 0.2523 0.7464
O 0.0022 0.7464 0.2523
O 0.2506 0.2506 0.5037
O 0.2505 0.4968 0.7488
O 0.2506 0.5037 0.2506
O 0.2505 0.7488 0.4968
O 0.2523 0.0022 0.7464
O 0.2523 0.2523 0.9951
O 0.2523 0.7464 0.0022
O 0.2523 0.9951 0.2523
O 0.4968 0.2505 0.7488
O 0.4968 0.7488 0.2505
O 0.5015 0.7486 0.7486
O 0.5037 0.2506 0.2506
O 0.7464 0.0022 0.2523
O 0.7464 0.2523 0.0022
O 0.7465 0.7465 0.9972
O 0.7465 0.9972 0.7465
O 0.7488 0.2505 0.4968
O 0.7488 0.4968 0.2505
O 0.7486 0.5015 0.7486
O 0.7486 0.7486 0.5015
O 0.9951 0.2523 0.2523
O 0.9972 0.7465 0.7465

Principal peaks in the range 15° ≤ 2θ ≤ 90°, low angle first:
2θ/deg	intensity
16.52	2
23.44	14
33.40	100
41.21	5
47.95	47
54.04	4
59.69	35
70.15	25
79.95	15
89.46	8



# 5
Diffraction record for Sr7CaFe5Co3O24. The powder XRD pattern is computed, not measured: it uses a GGA+U-relaxed structure and a wavelength of 1.5418 Å.

Atomic structure:
Cell lengths 7.7645, 7.7645, 7.7684 Å; angles 90.01, 90.01, 90.01 degrees
Element x y z (fractional)
Sr 0.0000 0.0000 0.0000
Sr 0.0001 0.0001 0.4959
Sr 0.0001 0.4970 0.0000
Sr 0.0001 0.4969 0.4958
Sr 0.4970 0.0001 0.0000
Sr 0.4969 0.0001 0.4958
Sr 0.4969 0.4969 0.0001
Ca 0.4969 0.4969 0.4961
Fe 0.2491 0.2491 0.7470
Fe 0.2491 0.7479 0.7471
Fe 0.7479 0.2491 0.7471
Fe 0.7475 0.7475 0.2484
Fe 0.7479 0.7479 0.7473
Co 0.2492 0.2492 0.2483
Co 0.2489 0.7478 0.2484
Co 0.7478 0.2489 0.2484
O 0.0002 0.2490 0.7476
O 0.0066 0.7483 0.2482
O 0.2490 0.0002 0.7476
O 0.2492 0.2492 0.0081
O 0.2487 0.7480 0.0013
O 0.2489 0.9981 0.2485
O 0.2505 0.2505 0.4878
O 0.2508 0.4968 0.7454
O 0.2512 0.4987 0.2505
O 0.2511 0.7460 0.4945
O 0.4906 0.7460 0.2504
O 0.4968 0.2508 0.7454
O 0.4978 0.7461 0.7456
O 0.4987 0.2512 0.2505
O 0.7460 0.2511 0.4945
O 0.7460 0.4906 0.2504
O 0.7461 0.4978 0.7456
O 0.7462 0.7462 0.4951
O 0.7483 0.0066 0.2482
O 0.7480 0.2487 0.0013
O 0.7480 0.7480 0.0007
O 0.7481 0.9991 0.7474
O 0.9981 0.2489 0.2485
O 0.9991 0.7481 0.7474

Principal peaks in the range 15° ≤ 2θ ≤ 90°, low angle first:
2θ/deg	intensity
16.14	1
25.65	1
32.61	100
40.23	12
46.79	39
58.20	37
68.33	22
77.78	16
82.37	3
86.91	7